No. 1
Y2In8Ni: computed XRD peak list (CuKα), based on a DFT-relaxed cell (PBE, Alexandria).
Peak positions follow from Bragg's law for the DFT cell and can differ from measured ones.

Most intense lines, 15 to 90 degrees two-theta, by angle:
2θ/deg, I_rel
28.2, 7
31.0, 38
35.2, 100
37.1, 20
38.8, 56
40.5, 9
54.8, 25
56.1, 19
65.5, 8
68.0, 28
68.1, 16
69.2, 12

Cell: 4.638 4.638 12.130 Å, 90.00 90.00 90.00°
Space group P4/mmm (No. 123)
Unique sites:
Y 0.000 0.000 0.192 x2
In 0.000 0.500 0.000 x2
In 0.000 0.500 0.379 x4
In 0.500 0.500 0.193 x2
Ni 0.000 0.000 0.500 x1

No. 2
YIn2Ni9: computed XRD peak list (CuKα), based on a DFT-relaxed cell (PBE, Alexandria).
Peak positions follow from Bragg's law for the DFT cell and can differ from measured ones.

Most intense lines, 15 to 90 degrees two-theta, by angle:
2θ/deg, I_rel
30.5, 16
34.4, 20
35.9, 17
37.1, 18
39.2, 100
43.3, 26
43.8, 52
44.8, 96
45.3, 42
46.7, 21
47.9, 16
68.3, 21

Cell: 8.249 8.249 4.845 Å, 90.00 90.00 90.00°
Space group P4/mbm (No. 127)
Unique sites:
Y 0.000 0.000 0.000 x2
In 0.125 0.375 0.000 x4
Ni 0.000 0.500 0.500 x2
Ni 0.064 0.206 0.500 x8
Ni 0.176 0.676 0.249 x8

What did the first record say?
Y2In8Ni: computed XRD peak list (CuKα), based on a DFT-relaxed cell (PBE, Alexandria).
Peak positions follow from Bragg's law for the DFT cell and can differ from measured ones.

Most intense lines, 15 to 90 degrees two-theta, by angle:
2θ/deg, I_rel
28.2, 7
31.0, 38
35.2, 100
37.1, 20
38.8, 56
40.5, 9
54.8, 25
56.1, 19
65.5, 8
68.0, 28
68.1, 16
69.2, 12

Cell: 4.638 4.638 12.130 Å, 90.00 90.00 90.00°
Space group P4/mmm (No. 123)
Unique sites:
Y 0.000 0.000 0.192 x2
In 0.000 0.500 0.000 x2
In 0.000 0.500 0.379 x4
In 0.500 0.500 0.193 x2
Ni 0.000 0.000 0.500 x1